This entry pairs a crystal structure of Li8Mn13Cr3O32 with its simulated X-ray diffraction stick pattern. Radiation: λ = 1.5418 Å (Cu Kα). Structure: a structure optimized by DFT (PBE+U).
Neutral-atom scattering factors, no anomalous dispersion.

Atomic structure:
```
56
Lattice="5.8939 -5.8228 0.0000 5.8939 5.8228 0.0000 -5.7760 0.0000 8.5980" Properties=species:S:1:pos:R:3 pbc="T T T"
Li 1.5092 2.9098 3.2975
Li 1.4983 0.0000 0.9683
Li -1.3897 0.0000 7.5996
Li 4.5026 2.9098 5.3005
Li 1.5092 -2.9098 3.2975
Li 7.4015 0.0000 0.9983
Li 4.5135 0.0000 7.6297
Li 4.5026 -2.9098 5.3005
Mn 2.9470 2.9114 0.0000
Mn 1.5597 4.3632 6.4474
Mn 4.4521 4.3632 2.1506
Mn 0.0682 0.0000 4.3082
Mn 4.4457 1.4437 2.1075
Mn 1.5662 1.4437 6.4904
Mn 2.9470 -2.9114 0.0000
Mn 3.0059 0.0000 4.2990
Mn 4.4457 -1.4437 2.1075
Mn 1.5662 -1.4437 6.4904
Mn 5.9436 0.0000 4.2897
Mn 1.5597 -4.3632 6.4474
Mn 4.4521 -4.3632 2.1506
Cr -2.8880 0.0000 4.2990
Cr 5.8939 2.9279 0.0000
Cr 5.8939 -2.9279 0.0000
O -1.3691 1.3295 4.1014
O 4.3803 4.2438 0.2069
O -3.0197 0.0000 6.3258
O -0.1608 0.0000 2.0963
O 3.1736 2.9037 2.1942
O 0.2475 2.9154 6.5652
O -1.3691 -1.3295 4.1014
O 4.3971 1.5968 0.1737
O 1.6315 4.2438 8.3910
O 1.5329 1.3134 4.5209
O 5.7643 2.9154 2.0328
O 2.8382 2.9037 6.4038
O 3.1574 0.0000 2.1161
O 0.2773 0.0000 6.5167
O 1.6147 1.5968 8.4242
O 1.5329 -1.3134 4.5209
O 4.4789 1.3134 4.0771
O 4.3971 -1.5968 0.1737
O 5.7345 0.0000 2.0812
O 2.8544 0.0000 6.4818
O 3.1736 -2.9037 2.1942
O 0.2475 -2.9154 6.5652
O 4.4789 -1.3134 4.0771
O 4.3803 -4.2438 0.2069
O 1.6147 -1.5968 8.4242
O 7.3809 1.3295 4.4965
O 5.7643 -2.9154 2.0328
O 2.8382 -2.9037 6.4038
O 6.1726 0.0000 6.5016
O 9.0315 0.0000 2.2721
O 1.6315 -4.2438 8.3910
O 7.3809 -1.3295 4.4965
```

The 10 most intense peaks (5 to 70 degrees two-theta), by intensity:
18.39°, I 100
43.71°, I 50
18.13°, I 40
42.03°, I 27
61.92°, I 15
62.58°, I 15
34.89°, I 13
36.02°, I 12
37.28°, I 11
35.89°, I 10



This entry pairs a crystal structure of Li2Mn3CrO8 with its simulated X-ray diffraction stick pattern. Radiation: λ = 1.5418 Å (Cu Kα). Structure: a structure optimized by DFT (PBE+U).
Neutral-atom scattering factors, no anomalous dispersion.

Atomic structure:
```
56
Lattice="8.2357 0.0000 0.0000 0.0000 8.2404 0.0000 -0.0124 0.0000 8.2517" Properties=species:S:1:pos:R:3 pbc="T T T"
Li 0.0164 0.0000 2.0475
Li 2.0487 2.0347 4.1383
Li 2.0659 6.1921 0.0136
Li 4.0874 8.2315 6.1749
Li 4.1359 4.1114 2.0768
Li 6.1574 2.0720 8.2381
Li 6.1745 6.1549 4.1134
Li 8.2069 4.1202 6.2042
Mn 0.9876 7.1676 5.1594
Mn 1.0340 5.1084 3.1050
Mn 1.0638 3.0946 1.0412
Mn 3.0426 5.1337 5.1667
Mn 3.0698 3.1200 7.2291
Mn 3.1200 1.0599 1.0331
Mn 5.1033 5.1801 7.2186
Mn 5.1535 7.2402 1.0227
Mn 5.1807 1.0135 3.0850
Mn 7.1594 7.2148 7.2105
Mn 7.1893 0.9882 5.1467
Mn 7.2357 3.0474 3.0923
Cr 1.0126 1.0312 7.2200
Cr 3.0909 7.1964 3.0972
Cr 5.1324 3.0762 5.1545
Cr 7.2106 5.1514 1.0317
O 0.8697 7.2916 7.1030
O 0.8865 0.8705 5.2410
O 0.9442 3.1657 2.9852
O 0.9575 5.0293 1.1621
O 1.1011 5.2261 5.0505
O 1.1119 7.0536 3.2164
O 1.1360 3.0164 7.3502
O 1.1785 1.1620 0.9468
O 2.9303 7.0650 5.0764
O 2.9662 5.2119 3.2243
O 2.9912 1.1748 7.3399
O 3.0060 3.0019 0.9220
O 3.1477 3.1994 5.2859
O 3.1612 5.0628 7.1110
O 3.2201 7.3579 1.1177
O 3.2351 0.9353 2.9780
O 4.9881 5.0555 5.2737
O 5.0031 3.2377 7.1340
O 5.0621 0.9426 1.1407
O 5.0756 7.3196 2.9658
O 5.2321 5.2950 0.9118
O 5.2172 7.1221 7.3297
O 5.2571 1.0917 5.0274
O 5.2930 2.9448 3.1753
O 7.0448 5.2822 7.3049
O 7.0873 7.1366 0.9015
O 7.1113 2.9334 5.0353
O 7.1221 1.1059 3.2012
O 7.2657 0.9091 7.0896
O 7.2791 7.2859 5.2665
O 7.3368 4.9906 3.0107
O 7.3536 3.1714 1.1487
```

The 10 most intense peaks (5 to 70 degrees two-theta), by intensity:
18.65°, I 100
43.94°, I 54
36.14°, I 46
63.85°, I 16
63.93°, I 16
58.13°, I 13
37.81°, I 10
48.12°, I 9
67.16°, I 8
58.20°, I 7